Starting from a crystal structure in Alexandria, relaxed with PBE, the X-ray powder pattern of CaAl2Pt6 was simulated for Cu Ka.

Structural model:
Cell lengths 11.232, 11.232, 11.232 Å; angles 90.00, 90.00, 90.00 degrees
Space group Fd-3m (No. 227, origin choice 2)
Asymmetric unit:
Ca1 0.125 0.125 0.125
Al1 0.000 0.000 0.500
Pt1 0.124 0.375 0.375

Most intense lines, 5 to 70 degrees two-theta, low angle first:
| d [Å] | intensity | hkl |
| --- | --- | --- |
| 3.971 | 43 | 2 2 0 |
| 3.386 | 2 | 3 1 1 |
| 2.808 | 100 | 4 0 0 |
| 2.293 | 21 | 4 2 2 |
| 2.162 | 1 | 5 1 1 |
| 1.985 | 90 | 4 4 0 |
| 1.776 | 10 | 6 2 0 |
| 1.621 | 26 | 4 4 4 |
| 1.501 | 11 | 6 4 2 |
| 1.404 | 15 | 8 0 0 |

Starting from a crystal structure in Alexandria, relaxed with PBE, the X-ray powder pattern of CaAl12Pt4 was simulated for Cu Ka.

Structural model:
```
data_CaAl12Pt4
_symmetry_space_group_name_H-M 'I m -3'
_symmetry_Int_Tables_number 204
_symmetry_space_group_name_Hall '-I 2 2 3'
_cell_length_a 8.833
_cell_length_b 8.833
_cell_length_c 8.833
_cell_angle_alpha 90.00
_cell_angle_beta 90.00
_cell_angle_gamma 90.00
loop_
_atom_site_label
_atom_site_type_symbol
_atom_site_fract_x
_atom_site_fract_y
_atom_site_fract_z
Ca1 Ca 0.000 0.000 0.000
Al1 Al 0.000 0.344 0.164
Pt1 Pt 0.250 0.250 0.250
```

Most intense lines, 5 to 70 degrees two-theta, low angle first:
| d [Å] | intensity | hkl |
| --- | --- | --- |
| 4.416 | 100 | 2 0 0 |
| 3.123 | 93 | 2 2 0 |
| 2.793 | 10 | 3 0 1 |
| 2.550 | 30 | 2 2 2 |
| 2.208 | 20 | 4 0 0 |
| 1.975 | 63 | 4 0 2 |
| 1.803 | 57 | 4 2 2 |
| 1.561 | 12 | 4 4 0 |
| 1.472 | 17 | 4 4 2 |
| 1.397 | 21 | 6 2 0 |

Starting from a crystal structure in Alexandria, relaxed with PBE, the X-ray powder pattern of Ca2Al4SiPt3 was simulated for Cu Ka.

Structural model:
```
data_Ca2Al4SiPt3
_symmetry_space_group_name_H-M 'P -4 m 2'
_symmetry_Int_Tables_number 115
_cell_length_a 4.221
_cell_length_b 4.221
_cell_length_c 10.631
_cell_angle_alpha 90.00
_cell_angle_beta 90.00
_cell_angle_gamma 90.00
loop_
_symmetry_equiv_pos_as_xyz
'x,y,z'
'y,-x,-z'
'-x,-y,z'
'-y,x,-z'
'-x,y,z'
'-y,-x,-z'
'x,-y,z'
'y,x,-z'
loop_
_atom_site_label
_atom_site_type_symbol
_atom_site_fract_x
_atom_site_fract_y
_atom_site_fract_z
Ca1 Ca 0.000 0.500 0.247
Al1 Al 0.000 0.000 0.500
Al2 Al 0.000 0.500 0.865
Al3 Al 0.500 0.500 0.500
Si1 Si 0.500 0.500 0.000
Pt1 Pt 0.000 0.000 0.000
Pt2 Pt 0.000 0.500 0.632
```

Most intense lines, 5 to 70 degrees two-theta, low angle first:
| d [Å] | intensity | hkl |
| --- | --- | --- |
| 3.923 | 92 | 1 0 1 |
| 3.544 | 38 | 0 0 3 |
| 3.306 | 100 | 1 0 2 |
| 2.874 | 77 | 1 1 1 |
| 2.714 | 66 | 1 0 3 |
| 2.603 | 62 | 1 1 2 |
| 2.111 | 68 | 2 0 0 |
| 1.985 | 70 | 1 1 4 |
| 1.899 | 36 | 1 0 5 |
| 1.779 | 36 | 2 1 2 |

Starting from a crystal structure in Alexandria, relaxed with PBE, the X-ray powder pattern of CaAl2SiPt4 was simulated for Cu Ka.

Structural model:
```
data_CaAl2SiPt4
_symmetry_space_group_name_H-M 'R -3 m'
_symmetry_Int_Tables_number 166
_symmetry_space_group_name_Hall '-R 3 2"'
_cell_length_a 4.2955
_cell_length_b 4.2955
_cell_length_c 26.0422
_cell_angle_alpha 90.00
_cell_angle_beta 90.00
_cell_angle_gamma 120.00
loop_
_atom_site_label
_atom_site_type_symbol
_atom_site_fract_x
_atom_site_fract_y
_atom_site_fract_z
Ca1 Ca 0.0000 0.0000 0.0000
Al1 Al 0.0000 0.0000 0.2465
Si1 Si 0.0000 0.0000 0.5000
Pt1 Pt 0.0000 0.0000 0.1386
Pt2 Pt 0.0000 0.0000 0.4081
```

Most intense lines, 5 to 70 degrees two-theta, low angle first:
| d [Å] | intensity | hkl |
| --- | --- | --- |
| 8.681 | 83 | 0 0 3 |
| 3.230 | 93 | 1 0 4 |
| 3.027 | 21 | 0 1 5 |
| 2.631 | 86 | 1 0 7 |
| 2.450 | 27 | 0 1 8 |
| 2.148 | 100 | 1 1 0 |
| 1.997 | 59 | 0 1 11 |
| 1.664 | 27 | 0 2 7 |
| 1.463 | 22 | 2 0 11 |
| 1.350 | 21 | 1 1 15 |

Starting from a crystal structure in Alexandria, relaxed with PBE, the X-ray powder pattern of CaAlRe was simulated for Cu Ka.

Structural model:
```
data_CaAlRe
_symmetry_space_group_name_H-M 'I m m 2'
_symmetry_Int_Tables_number 44
_cell_length_a 2.856
_cell_length_b 4.072
_cell_length_c 10.423
_cell_angle_alpha 90.00
_cell_angle_beta 90.00
_cell_angle_gamma 90.00
loop_
_symmetry_equiv_pos_as_xyz
'x,y,z'
'-x,-y,z'
'-x,y,z'
'x,-y,z'
'x+1/2,y+1/2,z+1/2'
'-x+1/2,-y+1/2,z+1/2'
'-x+1/2,y+1/2,z+1/2'
'x+1/2,-y+1/2,z+1/2'
loop_
_atom_site_label
_atom_site_type_symbol
_atom_site_fract_x
_atom_site_fract_y
_atom_site_fract_z
Ca1 Ca 0.000 0.000 0.000
Al1 Al 0.000 0.000 0.720
Re1 Re 0.000 0.000 0.294
```

Most intense lines, 5 to 70 degrees two-theta, low angle first:
| d [Å] | intensity | hkl |
| --- | --- | --- |
| 5.211 | 100 | 0 0 2 |
| 3.792 | 80 | 0 1 1 |
| 2.754 | 36 | 1 0 1 |
| 2.643 | 67 | 0 1 3 |
| 2.606 | 29 | 0 0 4 |
| 2.338 | 64 | 1 1 0 |
| 2.206 | 40 | 1 0 3 |
| 2.133 | 42 | 1 1 2 |
| 1.740 | 34 | 1 1 4 |
| 1.496 | 23 | 1 2 3 |

Starting from a crystal structure in Alexandria, relaxed with PBE, the X-ray powder pattern of CaAlRe4 was simulated for Cu Ka.

Structural model:
```
data_CaAlRe4
_symmetry_space_group_name_H-M 'F -4 3 m'
_symmetry_Int_Tables_number 216
_symmetry_space_group_name_Hall 'F -4 2 3'
_cell_length_a 7.486
_cell_length_b 7.486
_cell_length_c 7.486
_cell_angle_alpha 90.00
_cell_angle_beta 90.00
_cell_angle_gamma 90.00
loop_
_atom_site_label
_atom_site_type_symbol
_atom_site_fract_x
_atom_site_fract_y
_atom_site_fract_z
Ca1 Ca 0.000 0.000 0.000
Al1 Al 0.250 0.250 0.250
Re1 Re 0.125 0.125 0.625
```

Most intense lines, 5 to 70 degrees two-theta, low angle first:
| d [Å] | intensity | hkl |
| --- | --- | --- |
| 4.322 | 100 | 1 1 1 |
| 2.647 | 2 | 2 2 0 |
| 2.257 | 96 | 3 1 1 |
| 2.161 | 88 | 2 2 2 |
| 1.871 | 36 | 4 0 0 |
| 1.717 | 25 | 3 3 1 |
| 1.528 | 1 | 4 2 2 |
| 1.441 | 31 | 5 1 1 |

Starting from a crystal structure in Alexandria, relaxed with PBE, the X-ray powder pattern of Ca2Al6Rh was simulated for Cu Ka.

Structural model:
```
data_Ca2Al6Rh
_symmetry_space_group_name_H-M 'P -3 m 1'
_symmetry_Int_Tables_number 164
_symmetry_space_group_name_Hall '-P 3 2"'
_cell_length_a 5.8197
_cell_length_b 5.8197
_cell_length_c 5.9902
_cell_angle_alpha 90.00
_cell_angle_beta 90.00
_cell_angle_gamma 120.00
loop_
_atom_site_label
_atom_site_type_symbol
_atom_site_fract_x
_atom_site_fract_y
_atom_site_fract_z
Ca1 Ca 0.3333 0.6667 0.3616
Al1 Al 0.1683 0.3366 0.8234
Rh1 Rh 0.0000 0.0000 0.5000
```

Most intense lines, 5 to 70 degrees two-theta, low angle first:
| d [Å] | intensity | hkl |
| --- | --- | --- |
| 5.990 | 29 | 0 0 1 |
| 5.040 | 61 | 1 0 0 |
| 3.857 | 38 | 1 0 1 |
| 2.910 | 37 | 1 1 0 |
| 2.617 | 100 | 1 1 1 |
| 2.575 | 61 | 1 0 2 |
| 2.323 | 95 | 0 2 1 |
| 1.928 | 33 | 2 0 2 |
| 1.856 | 31 | 1 0 3 |
| 1.455 | 28 | 2 2 0 |

Starting from a crystal structure in Alexandria, relaxed with PBE, the X-ray powder pattern of SrCaAl2Ru was simulated for Cu Ka.

Structural model:
```
data_SrCaAl2Ru
_symmetry_space_group_name_H-M 'P 4/m m m'
_symmetry_Int_Tables_number 123
_symmetry_space_group_name_Hall '-P 4 2'
_cell_length_a 4.904
_cell_length_b 4.904
_cell_length_c 5.297
_cell_angle_alpha 90.00
_cell_angle_beta 90.00
_cell_angle_gamma 90.00
loop_
_atom_site_label
_atom_site_type_symbol
_atom_site_fract_x
_atom_site_fract_y
_atom_site_fract_z
Sr1 Sr 0.000 0.000 0.000
Ca1 Ca 0.500 0.500 0.000
Al1 Al 0.000 0.500 0.500
Ru1 Ru 0.500 0.500 0.500
```

Most intense lines, 5 to 70 degrees two-theta, low angle first:
| d [Å] | intensity | hkl |
| --- | --- | --- |
| 4.904 | 18 | 1 0 0 |
| 3.599 | 100 | 1 0 1 |
| 3.468 | 67 | 1 1 0 |
| 2.649 | 42 | 0 0 2 |
| 2.452 | 67 | 2 0 0 |
| 2.105 | 33 | 1 1 2 |
| 2.026 | 41 | 2 1 1 |
| 1.799 | 51 | 2 0 2 |
| 1.734 | 23 | 2 2 0 |
| 1.451 | 25 | 2 2 2 |

Starting from a crystal structure in Alexandria, relaxed with PBE, the X-ray powder pattern of CaAl2S4 was simulated for Cu Ka.

Structural model:
```
data_CaAl2S4
_symmetry_space_group_name_H-M 'F d d d'
_symmetry_Int_Tables_number 70
_cell_length_a 12.138
_cell_length_b 20.158
_cell_length_c 20.340
_cell_angle_alpha 90.00
_cell_angle_beta 90.00
_cell_angle_gamma 90.00
loop_
_symmetry_equiv_pos_as_xyz
'x,y,z'
'-x,-y,-z'
'-x+1/4,-y+1/4,z'
'x+1/4,y+1/4,-z'
'x,-y+1/4,-z+1/4'
'-x,y+1/4,z+1/4'
'-x+1/4,y,-z+1/4'
'x+1/4,-y,z+1/4'
'x,y+1/2,z+1/2'
'-x,-y+1/2,-z+1/2'
'-x+1/4,-y+3/4,z+1/2'
'x+1/4,y+3/4,-z+1/2'
'x,-y+3/4,-z+3/4'
'-x,y+3/4,z+3/4'
'-x+1/4,y+1/2,-z+3/4'
'x+1/4,-y+1/2,z+3/4'
'x+1/2,y,z+1/2'
'-x+1/2,-y,-z+1/2'
'-x+3/4,-y+1/4,z+1/2'
'x+3/4,y+1/4,-z+1/2'
'x+1/2,-y+1/4,-z+3/4'
'-x+1/2,y+1/4,z+3/4'
'-x+3/4,y,-z+3/4'
'x+3/4,-y,z+3/4'
'x+1/2,y+1/2,z'
'-x+1/2,-y+1/2,-z'
'-x+3/4,-y+3/4,z'
'x+3/4,y+3/4,-z'
'x+1/2,-y+3/4,-z+1/4'
'-x+1/2,y+3/4,z+1/4'
'-x+3/4,y+1/2,-z+1/4'
'x+3/4,-y+1/2,z+1/4'
loop_
_atom_site_label
_atom_site_type_symbol
_atom_site_fract_x
_atom_site_fract_y
_atom_site_fract_z
Ca1 Ca 0.125 0.125 0.125
Ca2 Ca 0.125 0.125 0.373
Ca3 Ca 0.125 0.125 0.625
Al1 Al 0.084 0.304 0.250
Al2 Al 0.123 0.262 0.751
S1 S 0.001 0.000 0.584
S2 S 0.001 0.000 0.915
S3 S 0.003 0.345 0.499
S4 S 0.015 0.079 0.751
```

Most intense lines, 5 to 70 degrees two-theta, low angle first:
| d [Å] | intensity | hkl |
| --- | --- | --- |
| 5.085 | 22 | 0 0 4 |
| 3.635 | 59 | 2 2 4 |
| 2.939 | 27 | 2 6 0 |
| 2.840 | 71 | 2 2 6 |
| 2.824 | 73 | 2 6 2 |
| 2.543 | 30 | 0 0 8 |
| 2.315 | 100 | 4 4 4 |
| 2.258 | 22 | 0 8 4 |
| 1.712 | 24 | 6 2 6 |
| 1.666 | 23 | 2 10 6 |

Starting from a crystal structure in Alexandria, relaxed with PBE, the X-ray powder pattern of Ca3AlSb3 was simulated for Cu Ka.

Structural model:
```
data_Ca3AlSb3
_symmetry_space_group_name_H-M 'C m c e'
_symmetry_Int_Tables_number 64
_symmetry_space_group_name_Hall '-C 2ac 2'
_cell_length_a 19.847
_cell_length_b 6.687
_cell_length_c 13.052
_cell_angle_alpha 90.00
_cell_angle_beta 90.00
_cell_angle_gamma 90.00
loop_
_atom_site_label
_atom_site_type_symbol
_atom_site_fract_x
_atom_site_fract_y
_atom_site_fract_z
Ca1 Ca 0.000 0.193 0.145
Ca2 Ca 0.177 0.200 0.872
Al1 Al 0.087 0.000 0.500
Sb1 Sb 0.000 0.222 0.387
Sb2 Sb 0.162 0.223 0.626
```

Most intense lines, 5 to 70 degrees two-theta, low angle first:
| d [Å] | intensity | hkl |
| --- | --- | --- |
| 3.816 | 100 | 3 1 2 |
| 3.344 | 57 | 0 2 0 |
| 3.308 | 66 | 6 0 0 |
| 3.263 | 63 | 0 0 4 |
| 2.352 | 52 | 6 2 0 |
| 2.335 | 55 | 0 2 4 |
| 2.323 | 58 | 6 0 4 |
| 2.010 | 19 | 3 3 2 |
| 1.994 | 19 | 9 1 2 |
| 1.908 | 41 | 6 2 4 |

Starting from a crystal structure in Alexandria, relaxed with PBE, the X-ray powder pattern of CaAlSb2 was simulated for Cu Ka.

Structural model:
```
data_CaAlSb2
_symmetry_space_group_name_H-M 'P 1 2/c 1'
_symmetry_Int_Tables_number 13
_cell_length_a 6.309
_cell_length_b 6.873
_cell_length_c 11.937
_cell_angle_alpha 90.00
_cell_angle_beta 113.70
_cell_angle_gamma 90.00
loop_
_symmetry_equiv_pos_as_xyz
'x,y,z'
'-x,-y,-z'
'-x,y,-z+1/2'
'x,-y,z+1/2'
loop_
_atom_site_label
_atom_site_type_symbol
_atom_site_fract_x
_atom_site_fract_y
_atom_site_fract_z
Ca1 Ca 0.163 0.237 0.130
Al1 Al 0.304 0.099 0.886
Sb1 Sb 0.133 0.271 0.665
Sb2 Sb 0.374 0.286 0.421
```

Most intense lines, 5 to 70 degrees two-theta, low angle first:
| d [Å] | intensity | hkl |
| --- | --- | --- |
| 3.721 | 100 | 1 1 1 |
| 3.437 | 95 | 0 2 0 |
| 3.362 | 48 | 1 1 -3 |
| 3.219 | 39 | 0 1 3 |
| 3.125 | 77 | 2 0 -2 |
| 2.975 | 35 | 1 0 -4 |
| 2.732 | 26 | 0 0 4 |
| 2.312 | 53 | 2 2 -2 |
| 2.249 | 29 | 1 2 -4 |
| 2.213 | 29 | 2 0 2 |